Record 1
La3RhO6: theoretical PXRD pattern (a wavelength of 1.5418 Å), based on a cell relaxed with GGA-PBE.
Peak positions follow from Bragg's law for the DFT cell and can differ from measured ones.

Largest 6 diffraction maxima, low angle first, 10 to 90 degrees two-theta:
two_theta	Rel. int.
25.5	414
28.0	1000
31.8	703
43.9	537
47.1	357
57.9	235

Structural model:
Lattice parameters (Å, degrees): 6.850 6.850 6.850 96.34 96.34 96.34
Sites, in units of the cell vectors:
La (0.086, 0.598, 0.771)
La (0.229, 0.914, 0.402)
La (0.402, 0.229, 0.914)
La (0.598, 0.771, 0.086)
La (0.771, 0.086, 0.598)
La (0.914, 0.402, 0.229)
Rh (0.000, 0.000, 0.000)
Rh (0.500, 0.500, 0.500)
O (0.067, 0.292, 0.933)
O (0.067, 0.933, 0.708)
O (0.199, 0.562, 0.439)
O (0.292, 0.933, 0.067)
O (0.438, 0.561, 0.801)
O (0.439, 0.199, 0.562)
O (0.561, 0.801, 0.438)
O (0.562, 0.439, 0.199)
O (0.708, 0.067, 0.933)
O (0.801, 0.438, 0.561)
O (0.933, 0.067, 0.292)
O (0.933, 0.708, 0.067)

---

Record 2
Ac2CdCl8: theoretical PXRD pattern (a wavelength of 1.5418 Å), based on a cell relaxed with GGA-PBE.
Peak positions follow from Bragg's law for the DFT cell and can differ from measured ones.

Largest 6 diffraction maxima, low angle first, 10 to 90 degrees two-theta:
two_theta	Rel. int.
13.0	1000
21.5	198
24.4	263
24.5	194
30.6	353
31.0	226

Structural model:
Lattice parameters (Å, degrees): 10.783 10.783 8.069 97.74 97.74 22.73
Sites, in units of the cell vectors:
Ac (0.155, 0.155, 0.330)
Ac (0.845, 0.845, 0.670)
Cd (0.500, 0.500, 0.000)
Cl (0.011, 0.011, 0.215)
Cl (0.242, 0.242, 0.671)
Cl (0.374, 0.374, 0.946)
Cl (0.394, 0.394, 0.484)
Cl (0.606, 0.606, 0.516)
Cl (0.626, 0.626, 0.054)
Cl (0.758, 0.758, 0.329)
Cl (0.989, 0.989, 0.785)